Theoretical XRD peak list of La2ThRh9 for Cu Kα (weighted mean of Kα1 and Kα2), from a crystal structure in Alexandria, relaxed with PBE.
Neutral-atom scattering factors, no anomalous dispersion.

Principal peaks in the range 2θ = 15–90°, by angle:
2θ/deg  I/Imax
30.2  217
32.9  229
33.7  258
39.4  1000
64.1  175
70.9  169

Structural model:
abc: 9.5040 9.5040 9.5040
angles: 32.48 32.48 32.48
Positions (direct):
1 La 0.1394 0.1394 0.1394
2 La 0.8606 0.8606 0.8606
3 Th 0.0000 0.0000 0.0000
4 Rh 0.0814 0.5808 0.5808
5 Rh 0.3329 0.3329 0.3329
6 Rh 0.4192 0.4192 0.9186
7 Rh 0.4192 0.9186 0.4192
8 Rh 0.5000 0.5000 0.5000
9 Rh 0.5808 0.0814 0.5808
10 Rh 0.5808 0.5808 0.0814
11 Rh 0.6671 0.6671 0.6671
12 Rh 0.9186 0.4192 0.4192